1.
The following is a calculated powder X-ray diffraction pattern of La4TbSm6. It was derived from the GGA-PBE geometry in Alexandria, using copper Kα.

Main lines, low angle first (2θ = 10–90°):
| 2θ/deg | d/Å | I (rel.) |
| --- | --- | --- |
| 28.04 | 3.183 | 39 |
| 28.48 | 3.134 | 66 |
| 29.27 | 3.051 | 30 |
| 30.12 | 2.967 | 100 |
| 33.87 | 2.646 | 59 |
| 39.87 | 2.261 | 36 |

Crystal structure
```
11
Lattice="-3.3686 3.3686 8.5540 3.3686 -3.3686 8.5540 3.3686 3.3686 -8.5540" Properties=species:S:1:pos:R:3 pbc="T T T"
La 2.2375 2.2375 -2.1922
La 1.1311 -1.1311 10.7462
La 1.1311 1.1311 6.3618
La -1.1311 1.1311 10.7462
Tb 0.0000 0.0000 0.0000
Sm 3.3686 0.0000 0.0000
Sm 2.1144 -2.1144 5.5389
Sm 1.2542 1.2542 3.0151
Sm 0.0000 3.3686 0.0000
Sm -2.1144 2.1144 5.5389
Sm 2.1144 2.1144 11.5691
```

2.
The following is a calculated powder X-ray diffraction pattern of La3Tb6Sm2. It was derived from the GGA-PBE geometry in Alexandria, using copper Kα.

Main lines, low angle first (2θ = 10–90°):
| 2θ/deg | d/Å | I (rel.) |
| --- | --- | --- |
| 28.21 | 3.164 | 26 |
| 30.45 | 2.936 | 62 |
| 31.06 | 2.879 | 95 |
| 32.55 | 2.751 | 53 |
| 33.13 | 2.704 | 100 |
| 52.08 | 1.756 | 25 |

Crystal structure
```
11
Lattice="2.9617 -5.8077 0.0000 2.9617 5.8077 0.0000 -1.4518 0.0000 11.0078" Properties=species:S:1:pos:R:3 pbc="T T T"
La 0.0000 0.0000 0.0000
La 2.9617 2.1311 0.0000
La 2.9617 -2.1311 0.0000
Tb 2.1847 4.0008 3.2005
Tb 2.2868 4.0008 7.8074
Tb 2.1611 0.0000 2.5647
Tb 2.3104 0.0000 8.4431
Tb 2.1847 -4.0008 3.2005
Tb 2.2868 -4.0008 7.8074
Sm 2.2358 1.6195 5.5039
Sm 2.2358 -1.6195 5.5039
```

3.
The following is a calculated powder X-ray diffraction pattern of La2TbSmTe5. It was derived from the GGA-PBE geometry in Alexandria, using copper Kα.

Main lines, low angle first (2θ = 10–90°):
| 2θ/deg | d/Å | I (rel.) |
| --- | --- | --- |
| 22.72 | 3.914 | 56 |
| 27.95 | 3.192 | 23 |
| 32.36 | 2.767 | 100 |
| 34.64 | 2.590 | 22 |
| 45.06 | 2.012 | 25 |
| 46.41 | 1.957 | 28 |

Crystal structure
```
9
Lattice="5.5356 0.0000 0.0000 0.0000 5.5356 0.0000 0.0000 0.0000 11.7198" Properties=species:S:1:pos:R:3 pbc="T T T"
La 0.0000 0.0000 1.9948
La 0.0000 0.0000 9.7249
Tb 2.7678 2.7678 0.0000
Sm 2.7678 2.7678 5.8599
Te 0.0000 0.0000 5.8599
Te 0.0000 2.7678 0.0000
Te 2.7678 0.0000 0.0000
Te 2.7678 2.7678 2.9605
Te 2.7678 2.7678 8.7592
```

4.
The following is a calculated powder X-ray diffraction pattern of LaTb2SmTm2. It was derived from the GGA-PBE geometry in Alexandria, using copper Kα.

Main lines, low angle first (2θ = 10–90°):
| 2θ/deg | d/Å | I (rel.) |
| --- | --- | --- |
| 29.12 | 3.067 | 99 |
| 29.65 | 3.013 | 98 |
| 30.18 | 2.961 | 100 |
| 32.75 | 2.734 | 44 |
| 33.91 | 2.644 | 53 |
| 41.18 | 2.192 | 64 |

Crystal structure
```
12
Lattice="6.5208 0.0000 0.0000 0.0000 18.0700 0.0000 0.0000 0.0000 3.4010" Properties=species:S:1:pos:R:3 pbc="T T T"
La 0.0000 0.0000 0.0000
La 3.2604 9.0350 1.7005
Tb 1.4034 3.4359 0.0000
Tb 1.8570 12.4709 1.7005
Tb 4.6637 5.5991 1.7005
Tb 5.1174 14.6341 0.0000
Sm 0.0000 9.0350 0.0000
Sm 3.2604 0.0000 1.7005
Tm 1.3920 6.3644 1.7005
Tm 1.8684 15.3994 0.0000
Tm 4.6524 2.6706 0.0000
Tm 5.1288 11.7056 1.7005
```